# Tm2SnPd7
Computed X-ray powder pattern, λ = 1.5418 Å (Cu Kα). Input: a DFT-relaxed cell (PBE, Alexandria).

The 10 most intense peaks (2θ = 10–90°), in order of rising 2θ:
- (0 0 1), 22.1 deg, rel. 39
- (2 0 0), 24.2 deg, rel. 25
- (1 1 1), 26.0 deg, rel. 30
- (2 4 0), 34.4 deg, rel. 21
- (1 5 1), 39.7 deg, rel. 100
- (3 1 1), 43.7 deg, rel. 52
- (2 6 0), 44.2 deg, rel. 30
- (0 0 2), 45.1 deg, rel. 30
- (2 6 2), 65.0 deg, rel. 19
- (5 5 1), 76.0 deg, rel. 24

Structure:
```
data_Tm2SnPd7
_chemical_formula_sum 'Tm4 Sn2 Pd14'
_symmetry_space_group_name_H-M 'C m m m'
_symmetry_Int_Tables_number 65
_symmetry_space_group_name_Hall '-C 2 2'
_cell_length_a 7.3519
_cell_length_b 14.8112
_cell_length_c 4.0232
_cell_angle_alpha 90.00
_cell_angle_beta 90.00
_cell_angle_gamma 90.00
loop_
_atom_site_label
_atom_site_fract_x
_atom_site_fract_y
_atom_site_fract_z
Tm1 0.0000 0.1916 0.0000
Sn1 0.0000 0.5000 0.5000
Pd1 0.0000 0.0000 0.0000
Pd2 0.0000 0.3118 0.5000
Pd3 0.1850 0.4033 0.0000
```



# Tm3Sn3Pd2
Computed X-ray powder pattern, λ = 1.5418 Å (Cu Kα). Input: a DFT-relaxed cell (PBE, Alexandria).

The 10 most intense peaks (2θ = 10–90°), in order of rising 2θ:
- (1 4 1), 30.0 deg, rel. 22
- (2 4 0), 31.8 deg, rel. 100
- (1 0 2), 32.5 deg, rel. 37
- (1 1 2), 33.0 deg, rel. 54
- (0 6 0), 35.4 deg, rel. 75
- (3 0 1), 35.6 deg, rel. 43
- (1 3 2), 37.1 deg, rel. 55
- (3 3 1), 40.0 deg, rel. 24
- (1 4 2), 40.4 deg, rel. 40
- (4 0 1), 46.1 deg, rel. 31

Structure:
```
data_Tm3Sn3Pd2
_chemical_formula_sum 'Tm12 Sn12 Pd8'
_symmetry_space_group_name_H-M 'P n m a'
_symmetry_Int_Tables_number 62
_symmetry_space_group_name_Hall '-P 2ac 2n'
_cell_length_a 8.3751
_cell_length_b 15.2167
_cell_length_c 5.8380
_cell_angle_alpha 90.00
_cell_angle_beta 90.00
_cell_angle_gamma 90.00
loop_
_atom_site_label
_atom_site_fract_x
_atom_site_fract_y
_atom_site_fract_z
Tm1 0.0320 0.1122 0.1228
Tm2 0.1734 0.2500 0.6375
Sn1 0.1879 0.7500 0.6338
Sn2 0.2008 0.0361 0.5995
Pd1 0.0823 0.6139 0.3713
```



# U2SnPd9
Computed X-ray powder pattern, λ = 1.5418 Å (Cu Kα). Input: a DFT-relaxed cell (PBE, Alexandria).

The 10 most intense peaks (2θ = 10–90°), in order of rising 2θ:
- (1 0 0), 21.5 deg, rel. 5
- (1 0 3), 30.8 deg, rel. 4
- (1 1 3), 37.9 deg, rel. 100
- (2 0 0), 43.9 deg, rel. 33
- (0 0 6), 44.3 deg, rel. 16
- (2 2 0), 63.8 deg, rel. 11
- (2 0 6), 64.2 deg, rel. 21
- (3 1 3), 76.7 deg, rel. 26
- (1 1 9), 77.3 deg, rel. 12
- (2 2 6), 81.0 deg, rel. 11

Structure:
```
data_U2SnPd9
_chemical_formula_sum 'U2 Sn1 Pd9'
_symmetry_space_group_name_H-M 'P 4/m m m'
_symmetry_Int_Tables_number 123
_symmetry_space_group_name_Hall '-P 4 2'
_cell_length_a 4.1244
_cell_length_b 4.1244
_cell_length_c 12.2577
_cell_angle_alpha 90.00
_cell_angle_beta 90.00
_cell_angle_gamma 90.00
loop_
_atom_site_label
_atom_site_fract_x
_atom_site_fract_y
_atom_site_fract_z
U1 0.0000 0.0000 0.1710
Sn1 0.0000 0.0000 0.5000
Pd1 0.0000 0.5000 0.0000
Pd2 0.0000 0.5000 0.3348
Pd3 0.5000 0.5000 0.1686
Pd4 0.5000 0.5000 0.5000
```



# USnPd
Computed X-ray powder pattern, λ = 1.5418 Å (Cu Kα). Input: a DFT-relaxed cell (PBE, Alexandria).

The 10 most intense peaks (2θ = 10–90°), in order of rising 2θ:
- (1 0 0), 20.2 deg, rel. 23
- (1 1 0), 35.3 deg, rel. 100
- (1 0 2), 38.2 deg, rel. 87
- (2 0 2), 53.0 deg, rel. 35
- (3 0 0), 63.4 deg, rel. 19
- (2 1 2), 65.3 deg, rel. 38
- (0 0 4), 67.0 deg, rel. 5
- (2 2 0), 74.7 deg, rel. 12
- (1 1 4), 78.1 deg, rel. 19
- (3 1 2), 87.2 deg, rel. 19

Structure:
```
data_USnPd
_chemical_formula_sum 'U2 Sn2 Pd2'
_symmetry_space_group_name_H-M 'P 6/m m m'
_symmetry_Int_Tables_number 191
_symmetry_space_group_name_Hall '-P 6 2'
_cell_length_a 5.0806
_cell_length_b 5.0806
_cell_length_c 5.5870
_cell_angle_alpha 90.00
_cell_angle_beta 90.00
_cell_angle_gamma 120.00
loop_
_atom_site_label
_atom_site_fract_x
_atom_site_fract_y
_atom_site_fract_z
U1 0.0000 0.0000 0.2305
Sn1 0.3333 0.6667 0.5000
Pd1 0.3333 0.6667 0.0000
```



# VSnPd6
Computed X-ray powder pattern, λ = 1.5418 Å (Cu Kα). Input: a DFT-relaxed cell (PBE, Alexandria).

The 10 most intense peaks (2θ = 10–90°), in order of rising 2θ:
- (1 0 1), 25.1 deg, rel. 2
- (0 0 3), 33.9 deg, rel. 4
- (1 1 2), 39.3 deg, rel. 100
- (2 0 0), 45.7 deg, rel. 33
- (0 0 4), 45.8 deg, rel. 15
- (2 2 0), 66.7 deg, rel. 30
- (1 1 5), 67.9 deg, rel. 2
- (3 1 2), 80.2 deg, rel. 24
- (1 1 6), 80.3 deg, rel. 11
- (2 2 4), 84.6 deg, rel. 10

Structure:
```
data_VSnPd6
_chemical_formula_sum 'V1 Sn1 Pd6'
_symmetry_space_group_name_H-M 'P 4/m m m'
_symmetry_Int_Tables_number 123
_symmetry_space_group_name_Hall '-P 4 2'
_cell_length_a 3.9712
_cell_length_b 3.9712
_cell_length_c 7.9239
_cell_angle_alpha 90.00
_cell_angle_beta 90.00
_cell_angle_gamma 90.00
loop_
_atom_site_label
_atom_site_fract_x
_atom_site_fract_y
_atom_site_fract_z
V1 0.0000 0.0000 0.0000
Sn1 0.0000 0.0000 0.5000
Pd1 0.0000 0.5000 0.2373
Pd2 0.5000 0.5000 0.0000
Pd3 0.5000 0.5000 0.5000
```



# SnPd2W
Computed X-ray powder pattern, λ = 1.5418 Å (Cu Kα). Input: a DFT-relaxed cell (PBE, Alexandria).

The 10 most intense peaks (2θ = 10–90°), in order of rising 2θ:
- (1 1 2), 33.3 deg, rel. 100
- (0 0 8), 38.6 deg, rel. 33
- (1 1 6), 43.4 deg, rel. 48
- (2 0 4), 49.9 deg, rel. 62
- (1 1 10), 59.5 deg, rel. 19
- (2 2 0), 66.6 deg, rel. 13
- (3 1 2), 76.5 deg, rel. 18
- (2 0 12), 78.1 deg, rel. 17
- (2 2 8), 79.7 deg, rel. 24
- (3 1 6), 82.9 deg, rel. 15

Structure:
```
data_SnPd2W
_chemical_formula_sum 'Sn4 Pd8 W4'
_symmetry_space_group_name_H-M 'I -4 2 d'
_symmetry_Int_Tables_number 122
_symmetry_space_group_name_Hall 'I -4 2bw'
_cell_length_a 3.9712
_cell_length_b 3.9712
_cell_length_c 18.6615
_cell_angle_alpha 90.00
_cell_angle_beta 90.00
_cell_angle_gamma 90.00
loop_
_atom_site_label
_atom_site_fract_x
_atom_site_fract_y
_atom_site_fract_z
Sn1 0.0000 0.0000 0.0000
Pd1 0.2415 0.2500 0.6250
W1 0.0000 0.0000 0.5000
```



# YSn2Pd8
Computed X-ray powder pattern, λ = 1.5418 Å (Cu Kα). Input: a DFT-relaxed cell (PBE, Alexandria).

The 10 most intense peaks (2θ = 10–90°), in order of rising 2θ:
- (2 2 0), 30.5 deg, rel. 28
- (0 4 1), 35.8 deg, rel. 77
- (3 1 -1), 36.7 deg, rel. 100
- (1 3 1), 36.9 deg, rel. 52
- (2 0 -2), 37.9 deg, rel. 29
- (1 1 -2), 38.3 deg, rel. 49
- (2 4 0), 39.8 deg, rel. 79
- (2 2 -2), 40.7 deg, rel. 31
- (1 5 -1), 41.1 deg, rel. 94
- (2 0 1), 41.5 deg, rel. 36

Structure:
```
data_YSn2Pd8
_chemical_formula_sum 'Y2 Sn4 Pd16'
_symmetry_space_group_name_H-M 'C 1 2/m 1'
_symmetry_Int_Tables_number 12
_symmetry_space_group_name_Hall '-C 2y'
_cell_length_a 7.5086
_cell_length_b 12.3956
_cell_length_c 4.8488
_cell_angle_alpha 90.00
_cell_angle_beta 117.85
_cell_angle_gamma 90.00
loop_
_atom_site_label
_atom_site_fract_x
_atom_site_fract_y
_atom_site_fract_z
Y1 0.0000 0.0000 0.0000
Sn1 0.0000 0.3105 0.5000
Pd1 0.0000 0.2241 0.0000
Pd2 0.0856 0.5000 0.8143
Pd3 0.2061 0.1164 0.6294
```



# YSn4Pd6
Computed X-ray powder pattern, λ = 1.5418 Å (Cu Kα). Input: a DFT-relaxed cell (PBE, Alexandria).

The 10 most intense peaks (2θ = 10–90°), in order of rising 2θ:
- (1 0 1), 15.7 deg, rel. 53
- (2 1 1), 30.4 deg, rel. 45
- (2 0 2), 31.7 deg, rel. 100
- (2 2 0), 37.0 deg, rel. 83
- (2 1 3), 40.2 deg, rel. 48
- (3 0 1), 40.4 deg, rel. 75
- (1 1 4), 41.1 deg, rel. 85
- (3 1 0), 41.5 deg, rel. 53
- (2 0 4), 45.3 deg, rel. 64
- (3 1 2), 45.6 deg, rel. 46

Structure:
```
data_YSn4Pd6
_chemical_formula_sum 'Y2 Sn8 Pd12'
_symmetry_space_group_name_H-M 'I -4 2 m'
_symmetry_Int_Tables_number 121
_symmetry_space_group_name_Hall 'I -4 2'
_cell_length_a 6.8795
_cell_length_b 6.8795
_cell_length_c 9.8329
_cell_angle_alpha 90.00
_cell_angle_beta 90.00
_cell_angle_gamma 90.00
loop_
_atom_site_label
_atom_site_fract_x
_atom_site_fract_y
_atom_site_fract_z
Y1 0.0000 0.0000 0.0000
Sn1 0.2126 0.2126 0.3297
Pd1 0.0000 0.5000 0.0000
Pd2 0.1597 0.1597 0.6011
```



# YSnPd5
Computed X-ray powder pattern, λ = 1.5418 Å (Cu Kα). Input: a DFT-relaxed cell (PBE, Alexandria).

The 10 most intense peaks (2θ = 10–90°), in order of rising 2θ:
- (1 1 0), 19.0 deg, rel. 20
- (1 1 2), 24.5 deg, rel. 12
- (2 2 0), 38.5 deg, rel. 100
- (2 0 4), 38.9 deg, rel. 96
- (0 2 4), 44.0 deg, rel. 67
- (4 0 0), 46.8 deg, rel. 28
- (4 2 4), 66.2 deg, rel. 39
- (2 4 4), 76.9 deg, rel. 25
- (2 2 8), 77.7 deg, rel. 24
- (6 2 0), 81.3 deg, rel. 12

Structure:
```
data_YSnPd5
_chemical_formula_sum 'Y4 Sn4 Pd20'
_symmetry_space_group_name_H-M 'C m c m'
_symmetry_Int_Tables_number 63
_symmetry_space_group_name_Hall '-C 2c 2'
_cell_length_a 7.7618
_cell_length_b 5.8670
_cell_length_c 11.5523
_cell_angle_alpha 90.00
_cell_angle_beta 90.00
_cell_angle_gamma 90.00
loop_
_atom_site_label
_atom_site_fract_x
_atom_site_fract_y
_atom_site_fract_z
Y1 0.0000 0.0009 0.2500
Sn1 0.0000 0.5000 0.0000
Pd1 0.0000 0.4995 0.7500
Pd2 0.2499 0.2494 0.6197
```



# ZnSnPd
Computed X-ray powder pattern, λ = 1.5418 Å (Cu Kα). Input: a DFT-relaxed cell (PBE, Alexandria).

The 10 most intense peaks (2θ = 10–90°), in order of rising 2θ:
- (0 0 4), 16.9 deg, rel. 12
- (1 0 1), 27.7 deg, rel. 11
- (1 0 3), 30.2 deg, rel. 20
- (1 1 0), 39.1 deg, rel. 58
- (1 0 7), 40.9 deg, rel. 100
- (2 0 0), 56.5 deg, rel. 20
- (0 0 14), 61.8 deg, rel. 7
- (2 1 7), 72.0 deg, rel. 37
- (1 1 14), 75.6 deg, rel. 15
- (2 0 14), 88.5 deg, rel. 11

Structure:
```
data_ZnSnPd
_chemical_formula_sum 'Zn4 Sn4 Pd4'
_symmetry_space_group_name_H-M 'I 4/m m m'
_symmetry_Int_Tables_number 139
_symmetry_space_group_name_Hall '-I 4 2'
_cell_length_a 3.2598
_cell_length_b 3.2598
_cell_length_c 21.0282
_cell_angle_alpha 90.00
_cell_angle_beta 90.00
_cell_angle_gamma 90.00
loop_
_atom_site_label
_atom_site_fract_x
_atom_site_fract_y
_atom_site_fract_z
Zn1 0.0000 0.0000 0.2171
Sn1 0.0000 0.0000 0.0706
Pd1 0.0000 0.0000 0.3521
```



# ZrSn2Pd7
Computed X-ray powder pattern, λ = 1.5418 Å (Cu Kα). Input: a DFT-relaxed cell (PBE, Alexandria).

The 10 most intense peaks (2θ = 10–90°), in order of rising 2θ:
- (1 0 1), 22.3 deg, rel. 7
- (1 0 3), 25.0 deg, rel. 15
- (1 1 6), 39.6 deg, rel. 100
- (2 0 0), 44.8 deg, rel. 36
- (0 0 12), 48.6 deg, rel. 13
- (2 2 0), 65.2 deg, rel. 12
- (2 0 12), 68.2 deg, rel. 19
- (3 1 6), 79.0 deg, rel. 26
- (1 1 18), 84.7 deg, rel. 10
- (2 2 12), 85.3 deg, rel. 10

Structure:
```
data_ZrSn2Pd7
_chemical_formula_sum 'Zr2 Sn4 Pd14'
_symmetry_space_group_name_H-M 'I 4/m m m'
_symmetry_Int_Tables_number 139
_symmetry_space_group_name_Hall '-I 4 2'
_cell_length_a 4.0493
_cell_length_b 4.0493
_cell_length_c 22.4756
_cell_angle_alpha 90.00
_cell_angle_beta 90.00
_cell_angle_gamma 90.00
loop_
_atom_site_label
_atom_site_fract_x
_atom_site_fract_y
_atom_site_fract_z
Zr1 0.0000 0.0000 0.0000
Sn1 0.0000 0.0000 0.3302
Pd1 0.0000 0.0000 0.5000
Pd2 0.0000 0.5000 0.0887
Pd3 0.0000 0.5000 0.2500
```



# SrPd12
Computed X-ray powder pattern, λ = 1.5418 Å (Cu Kα). Input: a DFT-relaxed cell (PBE, Alexandria).

The 10 most intense peaks (2θ = 10–90°), in order of rising 2θ:
- (2 0 0), 19.3 deg, rel. 9
- (0 0 2), 33.8 deg, rel. 22
- (4 0 0), 39.3 deg, rel. 100
- (2 2 2), 44.1 deg, rel. 72
- (3 2 3), 64.2 deg, rel. 11
- (4 1 3), 67.7 deg, rel. 11
- (6 0 2), 71.1 deg, rel. 21
- (6 2 2), 74.5 deg, rel. 7
- (8 0 0), 84.4 deg, rel. 10
- (4 0 4), 84.5 deg, rel. 6

Structure:
```
data_SrPd12
_chemical_formula_sum 'Sr2 Pd24'
_symmetry_space_group_name_H-M 'I 4/m m m'
_symmetry_Int_Tables_number 139
_symmetry_space_group_name_Hall '-I 4 2'
_cell_length_a 9.1852
_cell_length_b 9.1852
_cell_length_c 5.2935
_cell_angle_alpha 90.00
_cell_angle_beta 90.00
_cell_angle_gamma 90.00
loop_
_atom_site_label
_atom_site_fract_x
_atom_site_fract_y
_atom_site_fract_z
Sr1 0.0000 0.0000 0.0000
Pd1 0.0000 0.2229 0.5000
Pd2 0.0000 0.3542 0.0000
Pd3 0.2500 0.2500 0.2500
```